Diffraction record for BaSrCrBiO6. The powder X-ray diffraction pattern is theoretical, not measured: it uses the PBE+U geometry in Alexandria and a wavelength of 1.5418 Å.
Kinematic intensities with the Lorentz-polarization factor, no thermal factor.

Cell and atoms:
```
data_BaSrCrBiO6
_cell_length_a 5.8536
_cell_length_b 5.8536
_cell_length_c 5.8536
_cell_angle_alpha 60.00
_cell_angle_beta 60.00
_cell_angle_gamma 60.00
_space_group_name_H-M_alt 'P 1'
_space_group_IT_number 1
loop_
_space_group_symop_operation_xyz
'x,y,z'
loop_
_atom_site_label
_atom_site_fract_x
_atom_site_fract_y
_atom_site_fract_z
_atom_site_occupancy
Ba1 0.0000 0.0000 0.0000 1
Sr1 0.5000 0.5000 0.5000 1
Cr1 0.7500 0.7500 0.7500 1
Bi1 0.2500 0.2500 0.2500 1
O1 0.5052 0.5052 0.9948 1
O2 0.5052 0.9948 0.5052 1
O3 0.5052 0.9948 0.9948 1
O4 0.9948 0.5052 0.5052 1
O5 0.9948 0.5052 0.9948 1
O6 0.9948 0.9948 0.5052 1
```

Top 10 peaks for 2θ = 10–90°, low angle first:
18.56°, rel. 25.2
30.54°, rel. 100.0
35.98°, rel. 16.7
43.74°, rel. 30.7
47.90°, rel. 8.2
54.29°, rel. 40.4
63.58°, rel. 19.1
72.17°, rel. 17.8
80.36°, rel. 6.4
88.36°, rel. 22.1